[1]
For Ni3Mo2P, a structure optimized by DFT (PBE) gives the theoretical X-ray diffraction stick pattern in this record (Cu Kα (weighted mean of Kα1 and Kα2)).
Kinematic intensities with the Lorentz-polarization factor, no thermal factor.

Main lines, by angle (2θ from 10° to 90°):
Position (°2θ), d [Å], intensity
32.56, 2.750, 21
37.84, 2.378, 40
42.78, 2.114, 100
43.98, 2.059, 27
45.36, 1.999, 95
45.74, 1.983, 97
71.73, 1.316, 40
73.61, 1.287, 22
79.90, 1.201, 33
80.86, 1.189, 27

```
Ni3Mo2P
1.0
4.7551 0.0000 0.0000
-2.3776 4.1181 0.0000
0.0000 0.0000 7.3889
Ni Mo P
6 4 2
direct
0.1679 0.3358 0.2500
0.1679 0.8321 0.2500
0.3358 0.1679 0.7500
0.6642 0.8321 0.2500
0.8321 0.1679 0.7500
0.8321 0.6642 0.7500
0.3333 0.6667 0.5642
0.3333 0.6667 0.9358
0.6667 0.3333 0.0642
0.6667 0.3333 0.4358
0.0000 0.0000 0.0000
0.0000 0.0000 0.5000
```


[2]
For SiNiMo, a structure optimized by DFT (PBE) gives the theoretical X-ray diffraction stick pattern in this record (Cu Kα (weighted mean of Kα1 and Kα2)).
Kinematic intensities with the Lorentz-polarization factor, no thermal factor.

Main lines, by angle (2θ from 10° to 90°):
Position (°2θ), d [Å], intensity
31.61, 2.831, 17
36.93, 2.434, 18
38.17, 2.358, 22
41.26, 2.188, 59
41.64, 2.169, 22
44.00, 2.058, 22
45.06, 2.012, 100
46.44, 1.955, 15
72.25, 1.308, 13
76.89, 1.240, 19

```
SiNiMo
1.0
7.7101 0.0000 0.0000
0.0000 2.4339 4.0425
0.0000 -2.4339 4.0425
Si Ni Mo
4 4 4
direct
0.0000 0.2450 0.7550
0.0000 0.7550 0.2450
0.2691 0.6033 0.6033
0.7309 0.6033 0.6033
0.0000 0.7471 0.7471
0.5000 0.4239 0.9405
0.5000 0.4258 0.4258
0.5000 0.9405 0.4239
0.1868 0.2590 0.2590
0.3073 0.9352 0.9352
0.6927 0.9352 0.9352
0.8132 0.2590 0.2590
```


[3]
For Zr4NiMo, a structure optimized by DFT (PBE) gives the theoretical X-ray diffraction stick pattern in this record (Cu Kα (weighted mean of Kα1 and Kα2)).
Kinematic intensities with the Lorentz-polarization factor, no thermal factor.

Main lines, by angle (2θ from 10° to 90°):
Position (°2θ), d [Å], intensity
31.28, 2.860, 17
35.27, 2.545, 48
37.49, 2.399, 100
40.95, 2.204, 37
42.92, 2.107, 8
56.72, 1.623, 8
63.30, 1.469, 36
64.76, 1.439, 13
75.95, 1.253, 17
79.54, 1.205, 8

```
Zr4NiMo
1.0
0.0000 6.2331 6.2331
6.2331 0.0000 6.2331
6.2331 6.2331 0.0000
Zr Ni Mo
16 4 4
direct
0.1847 0.1847 0.8153
0.1847 0.8153 0.1847
0.1847 0.8153 0.8153
0.3971 0.3971 0.3971
0.3971 0.3971 0.8088
0.3971 0.8088 0.3971
0.5485 0.5485 0.9515
0.5485 0.9515 0.5485
0.5485 0.9515 0.9515
0.8088 0.3971 0.3971
0.8153 0.1847 0.1847
0.8153 0.1847 0.8153
0.8153 0.8153 0.1847
0.9515 0.5485 0.5485
0.9515 0.5485 0.9515
0.9515 0.9515 0.5485
0.1757 0.6081 0.6081
0.6081 0.1757 0.6081
0.6081 0.6081 0.1757
0.6081 0.6081 0.6081
0.1675 0.1675 0.1675
0.1675 0.1675 0.4976
0.1675 0.4976 0.1675
0.4976 0.1675 0.1675
```